(1)
Theoretical powder X-ray diffraction pattern of Cs2RuBrCl6 for Cu Kα X-rays, from a cell relaxed with GGA-PBE.
Peak positions follow from Bragg's law for the DFT cell and can differ from measured ones.

Largest 6 diffraction maxima, in order of falling intensity, 2θ = 10–90°:
d = 4.312 Å, 20.60°, rel. 100, (1 -1 1)
d = 3.094 Å, 28.86°, rel. 69, (0 2 -1)
d = 3.111 Å, 28.70°, rel. 63, (2 -2 0)
d = 3.627 Å, 24.54°, rel. 61, (-2 1 1)
d = 3.453 Å, 25.80°, rel. 60, (1 1 0)
d = 2.639 Å, 33.97°, rel. 58, (-2 2 2)

Cell and atoms:
a b c (Å): 7.3259 7.3346 7.8466
angles (deg): 90.14 109.21 119.89
Space group P1 (No. 1)
Symmetry-distinct sites (fractional):
Cs: 0.0000 0.0000 0.0000 (multiplicity 1)
Cs: 0.1573 0.5791 0.4950 (multiplicity 1)
Ru: 0.5789 0.2985 0.7474 (multiplicity 1)
Br: 0.5796 0.0733 0.2473 (multiplicity 1)
Cl: 0.2075 0.1123 0.5097 (multiplicity 1)
Cl: 0.4550 0.0039 0.8925 (multiplicity 1)
Cl: 0.4706 0.4678 0.9123 (multiplicity 1)
Cl: 0.6862 0.5752 0.5826 (multiplicity 1)
Cl: 0.7036 0.1277 0.6020 (multiplicity 1)
Cl: 0.9504 0.4837 0.9850 (multiplicity 1)

(2)
Theoretical powder X-ray diffraction pattern of CsSe2BrCl for Cu Kα X-rays, from a cell relaxed with GGA-PBE.
Peak positions follow from Bragg's law for the DFT cell and can differ from measured ones.

Largest 6 diffraction maxima, in order of falling intensity, 2θ = 10–90°:
d = 3.238 Å, 27.54°, rel. 100, (1 1 1)
d = 3.886 Å, 22.88°, rel. 60, (0 0 2)
d = 2.114 Å, 42.78°, rel. 44, (2 0 2)
d = 2.519 Å, 35.64°, rel. 37, (2 0 0)
d = 2.095 Å, 43.18°, rel. 29, (1 1 3)
d = 1.561 Å, 59.20°, rel. 23, (3 1 1)

Cell and atoms:
a b c (Å): 5.0381 5.0381 7.7723
angles (deg): 90.00 90.00 90.00
Space group P4/mmm (No. 123)
Symmetry-distinct sites (fractional):
Cs: 0.0000 0.0000 0.0000 (multiplicity 1)
Se: 0.0000 0.5000 0.5000 (multiplicity 2)
Br: 0.5000 0.5000 0.0000 (multiplicity 1)
Cl: 0.5000 0.5000 0.5000 (multiplicity 1)

(3)
Theoretical powder X-ray diffraction pattern of Cs3Sn2Br3Cl4 for Cu Kα X-rays, from a cell relaxed with GGA-PBE.
Peak positions follow from Bragg's law for the DFT cell and can differ from measured ones.

Largest 6 diffraction maxima, in order of falling intensity, 2θ = 10–90°:
d = 4.066 Å, 21.86°, rel. 100, (1 0 1)
d = 2.816 Å, 31.78°, rel. 46, (0 0 2)
d = 2.951 Å, 30.29°, rel. 40, (2 0 0)
d = 3.126 Å, 28.56°, rel. 38, (1 6 1)
d = 2.037 Å, 44.48°, rel. 36, (2 0 2)
d = 2.924 Å, 30.58°, rel. 29, (0 10 0)

Cell and atoms:
a b c (Å): 5.9013 29.2363 5.6322
angles (deg): 90.00 90.00 90.00
Space group Imm2 (No. 44)
Symmetry-distinct sites (fractional):
Cs: 0.0000 0.0000 0.0000 (multiplicity 2)
Cs: 0.0000 0.1837 0.9980 (multiplicity 4)
Sn: 0.0000 0.3956 0.9999 (multiplicity 4)
Br: 0.0000 0.0991 0.4987 (multiplicity 4)
Br: 0.0000 0.5000 0.0001 (multiplicity 2)
Cl: 0.0000 0.3017 0.0004 (multiplicity 4)
Cl: 0.0000 0.3944 0.4965 (multiplicity 4)

(4)
Theoretical powder X-ray diffraction pattern of Cs2TaBr5Cl for Cu Kα X-rays, from a cell relaxed with GGA-PBE.
Peak positions follow from Bragg's law for the DFT cell and can differ from measured ones.

Largest 6 diffraction maxima, in order of falling intensity, 2θ = 10–90°:
d = 6.380 Å, 13.88°, rel. 100, (1 0 1)
d = 3.190 Å, 27.97°, rel. 100, (2 0 2)
d = 2.780 Å, 32.19°, rel. 96, (2 2 0)
d = 1.947 Å, 46.64°, rel. 65, (2 2 4)
d = 3.894 Å, 22.83°, rel. 63, (1 1 2)
d = 2.728 Å, 32.83°, rel. 45, (0 0 4)

Cell and atoms:
a b c (Å): 7.8641 7.8641 10.9119
angles (deg): 90.00 90.00 90.00
Space group I4mm (No. 107)
Symmetry-distinct sites (fractional):
Cs: 0.0000 0.5000 0.0000 (multiplicity 4)
Ta: 0.0000 0.0000 0.2511 (multiplicity 2)
Br: 0.0000 0.0000 0.0143 (multiplicity 2)
Br: 0.2337 0.2337 0.2501 (multiplicity 8)
Cl: 0.0000 0.0000 0.4712 (multiplicity 2)

(5)
Theoretical powder X-ray diffraction pattern of Cs2TaBr2Cl4 for Cu Kα X-rays, from a cell relaxed with GGA-PBE.
Peak positions follow from Bragg's law for the DFT cell and can differ from measured ones.

Largest 6 diffraction maxima, in order of falling intensity, 2θ = 10–90°:
d = 3.831 Å, 23.22°, rel. 100, (2 0 0)
d = 2.709 Å, 33.06°, rel. 90, (0 0 4)
d = 6.257 Å, 14.16°, rel. 78, (1 0 1)
d = 1.916 Å, 47.46°, rel. 61, (2 2 4)
d = 3.128 Å, 28.53°, rel. 49, (2 0 2)
d = 2.213 Å, 40.78°, rel. 44, (2 0 4)

Cell and atoms:
a b c (Å): 7.6595 7.6595 10.8472
angles (deg): 90.00 90.00 90.00
Space group I4/mmm (No. 139)
Symmetry-distinct sites (fractional):
Cs: 0.0000 0.5000 0.2500 (multiplicity 4)
Ta: 0.0000 0.0000 0.0000 (multiplicity 2)
Br: 0.0000 0.0000 0.2405 (multiplicity 4)
Cl: 0.2234 0.2234 0.0000 (multiplicity 8)

(6)
Theoretical powder X-ray diffraction pattern of Cs2TeBrCl6 for Cu Kα X-rays, from a cell relaxed with GGA-PBE.
Peak positions follow from Bragg's law for the DFT cell and can differ from measured ones.

Largest 6 diffraction maxima, in order of falling intensity, 2θ = 10–90°:
d = 4.057 Å, 21.91°, rel. 100, (1 2 1)
d = 2.821 Å, 31.72°, rel. 36, (2 0 2)
d = 2.919 Å, 30.62°, rel. 32, (0 4 0)
d = 2.029 Å, 44.67°, rel. 25, (2 4 2)
d = 3.847 Å, 23.12°, rel. 23, (2 0 0)
d = 4.150 Å, 21.41°, rel. 22, (0 0 2)

Cell and atoms:
a b c (Å): 7.6938 11.6777 8.2990
angles (deg): 90.00 90.00 90.00
Space group Pmmn (No. 59, origin choice 2)
Symmetry-distinct sites (fractional):
Cs: 0.2500 0.0000 0.2477 (multiplicity 4)
Te: 0.2500 0.2500 0.6815 (multiplicity 2)
Br: 0.2500 0.7500 0.8249 (multiplicity 2)
Cl: 0.0167 0.2500 0.9002 (multiplicity 4)
Cl: 0.0196 0.2500 0.4621 (multiplicity 4)
Cl: 0.2500 0.0323 0.6860 (multiplicity 4)

(7)
Theoretical powder X-ray diffraction pattern of Cs3Tl2Br2Cl5 for Cu Kα X-rays, from a cell relaxed with GGA-PBE.
Peak positions follow from Bragg's law for the DFT cell and can differ from measured ones.

Largest 6 diffraction maxima, in order of falling intensity, 2θ = 10–90°:
d = 3.963 Å, 22.44°, rel. 100, (1 1 0)
d = 4.048 Å, 21.96°, rel. 80, (1 0 5)
d = 2.802 Å, 31.94°, rel. 75, (2 0 0)
d = 1.983 Å, 45.76°, rel. 41, (2 2 0)
d = 2.304 Å, 39.10°, rel. 37, (2 1 5)
d = 2.024 Å, 44.78°, rel. 36, (2 0 10)

Cell and atoms:
a b c (Å): 5.6042 5.6042 29.2677
angles (deg): 90.00 90.00 90.00
Space group I4/mmm (No. 139)
Symmetry-distinct sites (fractional):
Cs: 0.0000 0.0000 0.0000 (multiplicity 2)
Cs: 0.0000 0.0000 0.1776 (multiplicity 4)
Tl: 0.0000 0.0000 0.4035 (multiplicity 4)
Br: 0.0000 0.0000 0.3030 (multiplicity 4)
Cl: 0.0000 0.0000 0.5000 (multiplicity 2)
Cl: 0.0000 0.5000 0.0942 (multiplicity 8)

(8)
Theoretical powder X-ray diffraction pattern of Cs2UBr5Cl for Cu Kα X-rays, from a cell relaxed with GGA-PBE.
Peak positions follow from Bragg's law for the DFT cell and can differ from measured ones.

Largest 6 diffraction maxima, in order of falling intensity, 2θ = 10–90°:
d = 6.570 Å, 13.48°, rel. 100, (1 0 1)
d = 2.860 Å, 31.28°, rel. 98, (2 2 0)
d = 3.285 Å, 27.15°, rel. 77, (2 0 2)
d = 4.013 Å, 22.15°, rel. 71, (1 1 2)
d = 2.006 Å, 45.19°, rel. 69, (2 2 4)
d = 2.816 Å, 31.78°, rel. 47, (0 0 4)

Cell and atoms:
a b c (Å): 8.0886 8.0886 11.2633
angles (deg): 90.00 90.00 90.00
Space group I4mm (No. 107)
Symmetry-distinct sites (fractional):
Cs: 0.0000 0.5000 0.0000 (multiplicity 4)
U: 0.0000 0.0000 0.2511 (multiplicity 2)
Br: 0.0000 0.0000 0.0043 (multiplicity 2)
Br: 0.2443 0.2443 0.2495 (multiplicity 8)
Cl: 0.0000 0.0000 0.4817 (multiplicity 2)

(9)
Theoretical powder X-ray diffraction pattern of CsUBr3Cl for Cu Kα X-rays, from a cell relaxed with GGA-PBE.
Peak positions follow from Bragg's law for the DFT cell and can differ from measured ones.

Largest 6 diffraction maxima, in order of falling intensity, 2θ = 10–90°:
d = 3.894 Å, 22.84°, rel. 100, (0 2 1)
d = 6.504 Å, 13.61°, rel. 73, (1 1 0)
d = 2.848 Å, 31.41°, rel. 73, (0 6 1)
d = 2.432 Å, 36.97°, rel. 62, (1 5 1)
d = 2.953 Å, 30.27°, rel. 54, (0 8 0)
d = 2.601 Å, 34.48°, rel. 53, (2 0 -2)

Cell and atoms:
a b c (Å): 8.5195 23.6245 5.2026
angles (deg): 90.00 127.43 90.00
Space group C2/c (No. 15)
Symmetry-distinct sites (fractional):
Cs: 0.0000 0.1878 0.2500 (multiplicity 4)
U: 0.0000 0.4415 0.7500 (multiplicity 4)
Br: 0.0000 0.3181 0.7500 (multiplicity 4)
Br: 0.2367 0.4510 0.4873 (multiplicity 8)
Cl: 0.0000 0.1028 0.7500 (multiplicity 4)

(10)
Theoretical powder X-ray diffraction pattern of Cs2VBrCl3 for Cu Kα X-rays, from a cell relaxed with GGA-PBE.
Peak positions follow from Bragg's law for the DFT cell and can differ from measured ones.

Largest 6 diffraction maxima, in order of falling intensity, 2θ = 10–90°:
d = 2.797 Å, 32.00°, rel. 100, (1 1 4)
d = 3.807 Å, 23.37°, rel. 65, (1 0 3)
d = 3.693 Å, 24.10°, rel. 59, (1 1 0)
d = 2.674 Å, 33.52°, rel. 44, (0 2 0)
d = 2.553 Å, 35.15°, rel. 41, (2 0 0)
d = 2.855 Å, 31.33°, rel. 36, (0 0 6)

Cell and atoms:
a b c (Å): 5.1062 5.3472 17.1330
angles (deg): 90.00 90.00 90.00
Space group Immm (No. 71)
Symmetry-distinct sites (fractional):
Cs: 0.0000 0.0000 0.1466 (multiplicity 4)
V: 0.0000 0.0000 0.5000 (multiplicity 2)
Br: 0.0000 0.5000 0.5000 (multiplicity 2)
Cl: 0.0000 0.0000 0.3538 (multiplicity 4)
Cl: 0.0000 0.5000 0.0000 (multiplicity 2)

(11)
Theoretical powder X-ray diffraction pattern of CsW3Br3Cl4 for Cu Kα X-rays, from a cell relaxed with GGA-PBE.
Peak positions follow from Bragg's law for the DFT cell and can differ from measured ones.

Largest 6 diffraction maxima, in order of falling intensity, 2θ = 10–90°:
d = 7.781 Å, 11.37°, rel. 100, (1 0 1)
d = 5.986 Å, 14.80°, rel. 39, (1 0 2)
d = 8.113 Å, 10.90°, rel. 28, (0 0 2)
d = 2.165 Å, 41.72°, rel. 25, (2 2 4)
d = 2.241 Å, 40.25°, rel. 25, (1 0 7)
d = 4.330 Å, 20.51°, rel. 20, (1 1 2)

Cell and atoms:
a b c (Å): 10.2388 10.2388 16.2268
angles (deg): 90.00 90.00 120.00
Space group P31c (No. 159)
Symmetry-distinct sites (fractional):
Cs: 0.0000 0.0000 0.0000 (multiplicity 2)
Cs: 0.3333 0.6667 0.2475 (multiplicity 2)
W: 0.1834 0.5188 0.6828 (multiplicity 6)
W: 0.1840 0.6657 0.8150 (multiplicity 6)
Br: 0.0374 0.6901 0.4014 (multiplicity 6)
Br: 0.0386 0.3498 0.0963 (multiplicity 6)
Cl: 0.0520 0.3809 0.8138 (multiplicity 6)
Cl: 0.0529 0.6730 0.6841 (multiplicity 6)
Cl: 0.3333 0.6667 0.5599 (multiplicity 2)
Cl: 0.3333 0.6667 0.9379 (multiplicity 2)

(12)
Theoretical powder X-ray diffraction pattern of Cs2ZrBr4Cl2 for Cu Kα X-rays, from a cell relaxed with GGA-PBE.
Peak positions follow from Bragg's law for the DFT cell and can differ from measured ones.

Largest 6 diffraction maxima, in order of falling intensity, 2θ = 10–90°:
d = 2.922 Å, 30.59°, rel. 100, (2 2 1)
d = 3.042 Å, 29.36°, rel. 71, (2 2 -1)
d = 4.818 Å, 18.41°, rel. 56, (1 1 -1)
d = 3.302 Å, 27.00°, rel. 48, (0 0 2)
d = 3.114 Å, 28.67°, rel. 41, (4 0 -1)
d = 3.862 Å, 23.03°, rel. 40, (3 1 0)

Cell and atoms:
a b c (Å): 13.4554 7.7081 6.6378
angles (deg): 90.00 95.73 90.00
Space group C2/m (No. 12)
Symmetry-distinct sites (fractional):
Cs: 0.1606 0.0000 0.2645 (multiplicity 4)
Zr: 0.0000 0.5000 0.5000 (multiplicity 2)
Br: 0.0877 0.2551 0.7392 (multiplicity 8)
Cl: 0.1473 0.5000 0.3032 (multiplicity 4)